Record 1
# K2SrI4
Computed X-ray diffraction stick pattern, Cu Kα (λ = 1.5418 Å). Input: DFT lattice parameters and positions (GGA-PBE).
Intensities are scaled so that the largest is 100.

Structure:
a b c (Å): 10.393 10.393 13.942
angles (deg): 90.00 90.00 90.00
Space group P4_122 (No. 91)
Unique sites:
K 0.000 0.259 0.000 (multiplicity 4)
K 0.244 0.244 0.375 (multiplicity 4)
Sr 0.258 0.500 0.750 (multiplicity 4)
I 0.043 0.268 0.746 (multiplicity 8)
I 0.268 0.480 0.987 (multiplicity 8)

Top 8 peaks for 10° ≤ 2θ ≤ 80°, in order of falling intensity:
hkl 2 0 2, 21.3°, rel. 100
hkl 2 2 0, 24.2°, rel. 90
hkl 2 2 4, 35.5°, rel. 84
hkl 0 0 4, 25.6°, rel. 46
hkl 4 0 0, 34.5°, rel. 40
hkl 1 0 1, 10.6°, rel. 34
hkl 3 2 1, 31.7°, rel. 34
hkl 4 0 4, 43.5°, rel. 33

---

Record 2
# Mg3Zn9Ga2
Computed X-ray diffraction stick pattern, Cu Kα (λ = 1.5418 Å). Input: DFT lattice parameters and positions (GGA-PBE).
Intensities are scaled so that the largest is 100.

Structure:
a b c (Å): 4.180 10.116 11.296
angles (deg): 90.00 90.00 90.00
Space group Immm (No. 71)
Unique sites:
Mg 0.000 0.000 0.000 (multiplicity 2)
Mg 0.000 0.000 0.280 (multiplicity 4)
Zn 0.000 0.278 0.156 (multiplicity 8)
Zn 0.000 0.376 0.369 (multiplicity 8)
Zn 0.000 0.500 0.000 (multiplicity 2)
Ga 0.000 0.162 0.500 (multiplicity 4)

Top 8 peaks for 10° ≤ 2θ ≤ 80°, in order of falling intensity:
hkl 1 2 3, 36.7°, rel. 100
hkl 1 4 1, 42.5°, rel. 75
hkl 2 0 0, 43.3°, rel. 56
hkl 1 3 4, 47.3°, rel. 47
hkl 1 3 2, 37.8°, rel. 42
hkl 1 1 4, 39.5°, rel. 36
hkl 0 1 3, 25.2°, rel. 27
hkl 1 4 7, 73.2°, rel. 25

---

Record 3
# CsTl2ICl2
Computed X-ray diffraction stick pattern, Cu Kα (λ = 1.5418 Å). Input: DFT lattice parameters and positions (GGA-PBE).
Intensities are scaled so that the largest is 100.

Structure:
a b c (Å): 8.042 8.205 8.629
angles (deg): 90.00 109.67 90.00
Space group P2_1/m (No. 11)
Unique sites:
Cs 0.164 0.250 0.482 (multiplicity 2)
Tl 0.051 0.250 0.989 (multiplicity 2)
Tl 0.450 0.750 0.964 (multiplicity 2)
I 0.329 0.750 0.295 (multiplicity 2)
Cl 0.169 0.508 0.800 (multiplicity 4)

Top 8 peaks for 10° ≤ 2θ ≤ 80°, in order of falling intensity:
hkl 0 2 0, 21.7°, rel. 100
hkl 0 0 1, 10.9°, rel. 85
hkl 2 1 0, 25.9°, rel. 80
hkl 1 1 -2, 23.7°, rel. 65
hkl 0 2 2, 31.0°, rel. 51
hkl 2 0 1, 29.2°, rel. 38
hkl 2 2 -1, 31.3°, rel. 38
hkl 0 0 2, 21.9°, rel. 32

---

Record 4
# ReAu5
Computed X-ray diffraction stick pattern, Cu Kα (λ = 1.5418 Å). Input: DFT lattice parameters and positions (GGA-PBE).
Intensities are scaled so that the largest is 100.

Structure:
a b c (Å): 4.807 2.814 15.446
angles (deg): 90.00 90.00 90.00
Space group Amm2 (No. 38)
Unique sites:
Re 0.000 0.000 0.000 (multiplicity 2)
Au 0.000 0.000 0.337 (multiplicity 2)
Au 0.000 0.000 0.661 (multiplicity 2)
Au 0.500 0.000 0.226 (multiplicity 2)
Au 0.500 0.000 0.552 (multiplicity 2)
Au 0.500 0.000 0.892 (multiplicity 2)

Top 8 peaks for 10° ≤ 2θ ≤ 80°, in order of falling intensity:
hkl 1 1 3, 41.1°, rel. 100
hkl 1 0 6, 39.7°, rel. 58
hkl 2 0 0, 37.4°, rel. 44
hkl 0 1 3, 36.4°, rel. 25
hkl 2 1 9, 76.1°, rel. 22
hkl 3 1 3, 70.0°, rel. 21
hkl 0 1 9, 63.5°, rel. 18
hkl 2 1 3, 53.2°, rel. 17

---

Record 5
# Na3H7Ru
Computed X-ray diffraction stick pattern, Cu Kα (λ = 1.5418 Å). Input: DFT lattice parameters and positions (GGA-PBE).
Intensities are scaled so that the largest is 100.

Structure:
a b c (Å): 9.462 9.462 5.227
angles (deg): 90.00 90.00 90.00
Space group P4_2/mnm (No. 136)
Unique sites:
Na 0.033 0.302 0.000 (multiplicity 8)
Na 0.116 0.884 0.500 (multiplicity 4)
H 0.067 0.326 0.500 (multiplicity 8)
H 0.104 0.104 0.300 (multiplicity 8)
H 0.174 0.826 0.000 (multiplicity 4)
H 0.242 0.242 0.203 (multiplicity 8)
Ru 0.202 0.202 0.500 (multiplicity 4)

Top 8 peaks for 10° ≤ 2θ ≤ 80°, in order of falling intensity:
hkl 3 0 1, 33.2°, rel. 100
hkl 1 1 1, 21.6°, rel. 99
hkl 2 0 0, 18.8°, rel. 83
hkl 3 1 1, 34.5°, rel. 69
hkl 2 1 0, 21.0°, rel. 42
hkl 0 0 2, 34.3°, rel. 40
hkl 3 2 1, 38.4°, rel. 29
hkl 1 0 1, 19.4°, rel. 26

---

Record 6
# RbTi2Nb
Computed X-ray diffraction stick pattern, Cu Kα (λ = 1.5418 Å). Input: DFT lattice parameters and positions (GGA-PBE).
Intensities are scaled so that the largest is 100.

Structure:
a b c (Å): 7.329 7.329 11.666
angles (deg): 90.00 90.00 90.00
Space group I4_1/amd (No. 141, origin choice 2)
Unique sites:
Rb 0.000 0.250 0.375 (multiplicity 4)
Ti 0.000 0.000 0.000 (multiplicity 8)
Nb 0.000 0.250 0.875 (multiplicity 4)

Top 8 peaks for 10° ≤ 2θ ≤ 80°, in order of falling intensity:
hkl 1 1 2, 23.0°, rel. 100
hkl 2 0 0, 24.3°, rel. 43
hkl 3 1 2, 41.9°, rel. 39
hkl 2 2 4, 46.9°, rel. 32
hkl 1 0 1, 14.3°, rel. 30
hkl 2 0 4, 39.5°, rel. 23
hkl 2 0 2, 28.8°, rel. 16
hkl 4 0 0, 49.8°, rel. 13